Starting from DFT lattice parameters and positions (GGA-PBE), the X-ray diffraction stick pattern of Mg5Hg3 was simulated for λ = 1.5418 Å (Cu Kα).
Kinematic intensities with the Lorentz-polarization factor, no thermal factor.

Crystal structure
Cell lengths 8.378, 8.378, 5.856 Å; angles 90.00, 90.00, 120.00 degrees
Fractional coordinates of all 16 atoms:
Mg: 0.000 0.251 0.250
Mg: 0.000 0.749 0.750
Mg: 0.251 0.000 0.250
Mg: 0.251 0.251 0.750
Mg: 0.333 0.667 0.000
Mg: 0.333 0.667 0.500
Mg: 0.667 0.333 0.000
Mg: 0.667 0.333 0.500
Mg: 0.749 0.000 0.750
Mg: 0.749 0.749 0.250
Hg: 0.000 0.387 0.750
Hg: 0.000 0.613 0.250
Hg: 0.387 0.000 0.750
Hg: 0.387 0.387 0.250
Hg: 0.613 0.000 0.250
Hg: 0.613 0.613 0.750

Largest 10 diffraction maxima, low angle first, 15 to 90 degrees two-theta:
2θ (°), Rel. int.
21.21, 30
24.54, 15
26.16, 100
30.53, 27
36.17, 44
37.17, 30
37.48, 30
47.79, 32
48.84, 17
51.66, 16



Starting from DFT lattice parameters and positions (GGA-PBE), the X-ray diffraction stick pattern of Mg3Hg was simulated for λ = 1.5418 Å (Cu Kα).
Kinematic intensities with the Lorentz-polarization factor, no thermal factor.

Crystal structure
Cell lengths 6.283, 6.283, 5.046 Å; angles 90.00, 90.00, 120.00 degrees
Fractional coordinates of all 8 atoms:
Mg: 0.168 0.337 0.250
Mg: 0.168 0.832 0.250
Mg: 0.337 0.168 0.750
Mg: 0.663 0.832 0.250
Mg: 0.832 0.168 0.750
Mg: 0.832 0.663 0.750
Hg: 0.333 0.667 0.750
Hg: 0.667 0.333 0.250

Largest 10 diffraction maxima, low angle first, 15 to 90 degrees two-theta:
2θ (°), Rel. int.
16.29, 41
24.05, 100
28.41, 45
32.92, 20
35.58, 21
37.56, 83
46.15, 25
47.76, 34
65.21, 16
70.64, 17



Starting from DFT lattice parameters and positions (GGA-PBE), the X-ray diffraction stick pattern of Mg5Hg was simulated for λ = 1.5418 Å (Cu Kα).
Kinematic intensities with the Lorentz-polarization factor, no thermal factor.

Crystal structure
Cell lengths 6.035, 6.035, 7.324 Å; angles 103.15, 103.15, 31.42 degrees
Fractional coordinates of all 6 atoms:
Mg: 0.000 0.000 0.000
Mg: 0.048 0.048 0.612
Mg: 0.325 0.325 0.673
Mg: 0.377 0.377 0.266
Mg: 0.660 0.660 0.335
Hg: 0.717 0.717 0.944

Largest 10 diffraction maxima, low angle first, 15 to 90 degrees two-theta:
2θ (°), Rel. int.
15.70, 90
17.60, 68
22.30, 39
28.43, 44
30.36, 36
31.91, 54
35.62, 44
36.41, 69
36.92, 100
57.93, 37



Starting from DFT lattice parameters and positions (GGA-PBE), the X-ray diffraction stick pattern of Mg5Hg was simulated for λ = 1.5418 Å (Cu Kα).
Kinematic intensities with the Lorentz-polarization factor, no thermal factor.

Crystal structure
Cell lengths 5.398, 5.398, 5.235 Å; angles 90.00, 90.00, 120.00 degrees
Fractional coordinates of all 6 atoms:
Mg: 0.000 0.328 0.000
Mg: 0.328 0.000 0.000
Mg: 0.333 0.667 0.500
Mg: 0.667 0.333 0.500
Mg: 0.672 0.672 0.000
Hg: 0.000 0.000 0.500

Largest 10 diffraction maxima, low angle first, 15 to 90 degrees two-theta:
2θ (°), Rel. int.
16.94, 39
18.98, 92
25.55, 89
33.19, 39
34.26, 26
37.49, 100
39.45, 31
42.35, 26
48.44, 27
63.50, 36